[1]
Calculated powder diffractogram of Bi12Cl5O16 for λ = 1.5418 Å (Cu Kα), from a PBE-relaxed structure.

Most intense lines, 2θ = 10–80°, low angle first:
2θ 24.40, rel. 30, hkl 1 1 1; 2θ 28.93, rel. 53, hkl 4 0 -3; 2θ 30.15, rel. 100, hkl 3 1 2; 2θ 30.29, rel. 56, hkl 10 0 1; 2θ 31.52, rel. 82, hkl 7 1 -1; 2θ 43.56, rel. 41, hkl 3 1 -4

Structural model:
Cell lengths 31.0441, 3.9518, 10.0221 Å; angles 90.00, 90.95, 90.00 degrees
Space group C2/m (No. 12)
Symmetry-distinct sites (fractional):
Bi 0.0301 0.0000 0.2432 [4 per cell]
Bi 0.0594 0.5000 0.9330 [4 per cell]
Bi 0.0889 0.0000 0.6111 [4 per cell]
Bi 0.1500 0.0000 0.0907 [4 per cell]
Bi 0.1758 0.5000 0.7834 [4 per cell]
Bi 0.2036 0.0000 0.4483 [4 per cell]
Cl 0.0000 0.5000 0.5000 [2 per cell]
Cl 0.1108 0.5000 0.3645 [4 per cell]
Cl 0.2195 0.5000 0.2105 [4 per cell]
O 0.0175 0.5000 0.1375 [4 per cell]
O 0.0428 0.0000 0.7894 [4 per cell]
O 0.0741 0.0000 0.0656 [4 per cell]
O 0.1045 0.5000 0.7191 [4 per cell]
O 0.1336 0.5000 0.9890 [4 per cell]
O 0.1603 0.0000 0.6316 [4 per cell]
O 0.1818 0.0000 0.9027 [4 per cell]
O 0.2236 0.5000 0.5471 [4 per cell]


[2]
Calculated powder diffractogram of Pm2Ho9Er for λ = 1.5418 Å (Cu Kα), from a PBE-relaxed structure.

Most intense lines, 2θ = 10–80°, low angle first:
2θ 30.39, rel. 60, hkl 2 0 0; 2θ 32.57, rel. 100, hkl 1 1 3; 2θ 43.52, rel. 23, hkl 2 2 0; 2θ 55.40, rel. 45, hkl 3 1 3; 2θ 59.45, rel. 18, hkl 2 0 6; 2θ 68.23, rel. 12, hkl 2 2 6

Structural model:
Cell lengths 5.8824, 5.8824, 10.9889 Å; angles 90.00, 90.00, 90.00 degrees
Space group P4/mmm (No. 123)
Symmetry-distinct sites (fractional):
Pm 0.0000 0.0000 0.1662 [2 per cell]
Ho 0.0000 0.5000 0.0000 [2 per cell]
Ho 0.0000 0.5000 0.3362 [4 per cell]
Ho 0.5000 0.5000 0.1657 [2 per cell]
Ho 0.5000 0.5000 0.5000 [1 per cell]
Er 0.0000 0.0000 0.5000 [1 per cell]


[3]
Calculated powder diffractogram of TiNbGe for λ = 1.5418 Å (Cu Kα), from a PBE-relaxed structure.

Most intense lines, 2θ = 10–80°, low angle first:
2θ 36.64, rel. 100, hkl 1 2 1; 2θ 40.28, rel. 47, hkl 2 1 1; 2θ 45.46, rel. 37, hkl 2 0 2; 2θ 46.17, rel. 50, hkl 0 3 1; 2θ 63.18, rel. 19, hkl 3 2 1; 2θ 74.28, rel. 21, hkl 2 3 3

Structural model:
Cell lengths 5.2040, 6.2243, 6.2102 Å; angles 90.00, 90.00, 90.00 degrees
Space group Ima2 (No. 46)
Symmetry-distinct sites (fractional):
Ti 0.2500 0.1574 0.0000 [4 per cell]
Nb 0.2500 0.6534 0.8100 [4 per cell]
Ge 0.0000 0.0000 0.6590 [4 per cell]


[4]
Calculated powder diffractogram of K3La3TiS8 for λ = 1.5418 Å (Cu Kα), from a PBE-relaxed structure.

Most intense lines, 2θ = 10–80°, low angle first:
2θ 11.84, rel. 81, hkl 0 0 3; 2θ 26.16, rel. 22, hkl 2 0 2; 2θ 29.64, rel. 100, hkl 0 2 4; 2θ 37.71, rel. 23, hkl 0 2 7; 2θ 40.91, rel. 32, hkl 2 0 8; 2θ 43.86, rel. 32, hkl 2 2 0

Structural model:
Cell lengths 8.2559, 8.2559, 22.4274 Å; angles 90.00, 90.00, 120.00 degrees
Space group R-3m (No. 166, hexagonal axes)
Symmetry-distinct sites (fractional):
K 0.0000 0.5000 0.0000 [9 per cell]
La 0.0000 0.5000 0.5000 [9 per cell]
Ti 0.0000 0.0000 0.5000 [3 per cell]
S 0.0000 0.0000 0.2373 [6 per cell]
S 0.0407 0.5203 0.2292 [18 per cell]


[5]
Calculated powder diffractogram of Na8GaHg2 for λ = 1.5418 Å (Cu Kα), from a PBE-relaxed structure.

Most intense lines, 2θ = 10–80°, low angle first:
2θ 20.14, rel. 90, hkl 0 1 1; 2θ 20.45, rel. 78, hkl 1 1 -1; 2θ 33.38, rel. 100, hkl 1 2 0; 2θ 33.94, rel. 30, hkl 2 0 -1; 2θ 39.18, rel. 41, hkl 0 3 0; 2θ 39.33, rel. 42, hkl 1 3 -2

Structural model:
Cell lengths 5.2825, 7.6306, 9.3280 Å; angles 114.14, 106.22, 90.00 degrees
Space group P1 (No. 1)
Symmetry-distinct sites (fractional):
Na 0.0000 0.0000 0.0000 [1 per cell]
Na 0.0423 0.5565 0.0848 [1 per cell]
Na 0.2005 0.0681 0.4028 [1 per cell]
Na 0.3609 0.8755 0.7205 [1 per cell]
Na 0.4035 0.4030 0.8055 [1 per cell]
Na 0.5956 0.2812 0.1917 [1 per cell]
Na 0.7013 0.7551 0.4029 [1 per cell]
Na 0.8081 0.4932 0.6146 [1 per cell]
Ga 0.2023 0.4824 0.4031 [1 per cell]
Hg 0.5406 0.8272 0.0839 [1 per cell]
Hg 0.8623 0.1463 0.7217 [1 per cell]


[6]
Calculated powder diffractogram of HoMg11 for λ = 1.5418 Å (Cu Kα), from a PBE-relaxed structure.

Most intense lines, 2θ = 10–80°, low angle first:
2θ 13.41, rel. 32, hkl 1 0 1; 2θ 19.89, rel. 38, hkl 2 1 1; 2θ 24.89, rel. 31, hkl 1 1 2; 2θ 28.89, rel. 42, hkl 3 2 1; 2θ 32.60, rel. 100, hkl 3 1 2; 2θ 33.07, rel. 49, hkl 4 2 0

Structural model:
Cell lengths 12.1150, 12.1150, 7.8723 Å; angles 90.00, 90.00, 90.00 degrees
Space group I4_1/amd (No. 141, origin choice 2)
Symmetry-distinct sites (fractional):
Ho 0.0000 0.2500 0.3750 [4 per cell]
Mg 0.0000 0.0000 0.0000 [8 per cell]
Mg 0.0000 0.2500 0.8750 [4 per cell]
Mg 0.1213 0.0457 0.6744 [32 per cell]


[7]
Calculated powder diffractogram of Ba2InAsP for λ = 1.5418 Å (Cu Kα), from a PBE-relaxed structure.

Most intense lines, 2θ = 10–80°, low angle first:
2θ 23.43, rel. 91, hkl 2 0 0; 2θ 23.64, rel. 60, hkl 2 0 -2; 2θ 26.75, rel. 99, hkl 1 1 -2; 2θ 27.13, rel. 83, hkl 0 1 2; 2θ 39.21, rel. 100, hkl 3 1 -2; 2θ 41.09, rel. 48, hkl 0 2 0

Structural model:
Cell lengths 8.1700, 4.3936, 10.6823 Å; angles 90.00, 111.95, 90.00 degrees
Space group P2_1/m (No. 11)
Symmetry-distinct sites (fractional):
Ba 0.1714 0.2500 0.4096 [2 per cell]
Ba 0.2199 0.2500 0.9760 [2 per cell]
In 0.4672 0.2500 0.7688 [2 per cell]
As 0.1949 0.7500 0.1972 [2 per cell]
P 0.2691 0.7500 0.6800 [2 per cell]


[8]
Calculated powder diffractogram of K4Rb2Cl5 for λ = 1.5418 Å (Cu Kα), from a PBE-relaxed structure.

Most intense lines, 2θ = 10–80°, low angle first:
2θ 22.08, rel. 18, hkl 1 0 4; 2θ 23.17, rel. 23, hkl 1 0 7; 2θ 25.40, rel. 69, hkl 0 1 11; 2θ 27.55, rel. 43, hkl 0 1 14; 2θ 37.73, rel. 100, hkl 1 1 0; 2θ 68.10, rel. 19, hkl 2 1 25

Structural model:
Cell lengths 4.7660, 4.7660, 73.0986 Å; angles 90.00, 90.00, 120.00 degrees
Space group R-3m (No. 166, hexagonal axes)
Symmetry-distinct sites (fractional):
K 0.0000 0.0000 0.0765 [6 per cell]
K 0.0000 0.0000 0.1974 [6 per cell]
Rb 0.0000 0.0000 0.3597 [6 per cell]
Cl 0.0000 0.0000 0.0000 [3 per cell]
Cl 0.0000 0.0000 0.1168 [6 per cell]
Cl 0.0000 0.0000 0.2786 [6 per cell]